# 1
# Tb10DySc6
Simulated powder XRD pattern, λ = 1.5418 Å (Cu Kα). Input: a structure optimized by DFT (PBE).
Intensities are scaled so that the largest is 100.

Structure:
a = 9.3796 Å, b = 9.3796 Å, c = 6.6388 Å
α = 90.00°, β = 90.00°, γ = 120.00°
Atoms (fractional coordinates):
Tb1 0.0000 0.2821 0.3202
Tb2 0.0000 0.7179 0.6798
Tb3 0.2821 0.0000 0.3202
Tb4 0.2821 0.2821 0.6798
Tb5 0.3333 0.6667 0.0000
Tb6 0.3333 0.6667 0.5000
Tb7 0.6667 0.3333 0.0000
Tb8 0.6667 0.3333 0.5000
Tb9 0.7179 0.0000 0.6798
Tb10 0.7179 0.7179 0.3202
Dy1 0.0000 0.0000 0.0000
Sc1 0.0000 0.3657 0.8211
Sc2 0.0000 0.6343 0.1789
Sc3 0.3657 0.0000 0.8211
Sc4 0.3657 0.3657 0.1789
Sc5 0.6343 0.0000 0.1789
Sc6 0.6343 0.6343 0.8211

The 6 most intense peaks (10° ≤ 2θ ≤ 90°), most intense first:
2.709 Å, I 100.0; 1.564 Å, I 25.5; 3.830 Å, I 21.7; 2.787 Å, I 18.0; 1.915 Å, I 16.0; 1.211 Å, I 9.5

***

# 2
# Tb3Sm8Ho
Simulated powder XRD pattern, λ = 1.5418 Å (Cu Kα). Input: a structure optimized by DFT (PBE).
Intensities are scaled so that the largest is 100.

Structure:
a = 6.6840 Å, b = 6.6840 Å, c = 10.4542 Å
α = 100.15°, β = 100.15°, γ = 116.25°
Atoms (fractional coordinates):
Tb1 0.0000 0.0000 0.0000
Tb2 0.0000 0.5000 0.5000
Tb3 0.5000 0.0000 0.5000
Sm1 0.0719 0.5936 0.1657
Sm2 0.0803 0.0803 0.6599
Sm3 0.4064 0.9281 0.8343
Sm4 0.4129 0.4129 0.3256
Sm5 0.5871 0.5871 0.6744
Sm6 0.5936 0.0719 0.1657
Sm7 0.9197 0.9197 0.3401
Sm8 0.9281 0.4064 0.8343
Ho1 0.5000 0.5000 0.0000

The 6 most intense peaks (10° ≤ 2θ ≤ 90°), most intense first:
2.841 Å, I 100.0; 2.872 Å, I 47.2; 2.864 Å, I 46.9; 1.644 Å, I 30.0; 2.017 Å, I 28.4; 1.498 Å, I 19.3

***

# 3
# Mg2ScAu8
Simulated powder XRD pattern, λ = 1.5418 Å (Cu Kα). Input: a structure optimized by DFT (PBE).
Intensities are scaled so that the largest is 100.

Structure:
a = 7.1518 Å, b = 7.1518 Å, c = 4.2415 Å
α = 90.24°, β = 90.24°, γ = 105.92°
Atoms (fractional coordinates):
Mg1 0.1258 0.8742 0.0000
Mg2 0.8742 0.1258 0.0000
Sc1 0.5000 0.5000 0.5000
Au1 0.1630 0.1630 0.4998
Au2 0.1956 0.4582 0.9992
Au3 0.2578 0.7422 0.5000
Au4 0.4582 0.1956 0.9992
Au5 0.5418 0.8044 0.0008
Au6 0.7422 0.2578 0.5000
Au7 0.8044 0.5418 0.0008
Au8 0.8370 0.8370 0.5002

The 6 most intense peaks (10° ≤ 2θ ≤ 90°), most intense first:
2.368 Å, I 100.0; 2.121 Å, I 37.1; 2.335 Å, I 36.8; 2.321 Å, I 36.1; 2.292 Å, I 35.4; 3.439 Å, I 23.6